Hf3AlAu2: computed powder diffractogram (a wavelength of 1.5418 Å), based on a structure optimized by DFT (GGA-PBE).
Peak positions follow from Bragg's law for the DFT cell and can differ from measured ones.

Most intense lines, 15° ≤ 2θ ≤ 90°, low angle first:
two_theta	I (rel.)
25.08	21
35.77	31
38.02	100
41.54	22
44.19	11
57.57	15
64.27	34
65.76	9
70.13	8
77.18	17

```
data_Hf3AlAu2
_cell_length_a 8.696
_cell_length_b 8.696
_cell_length_c 8.696
_cell_angle_alpha 60.00
_cell_angle_beta 60.00
_cell_angle_gamma 60.00
_space_group_name_H-M_alt 'P 1'
_space_group_IT_number 1
loop_
_space_group_symop_operation_xyz
'x,y,z'
loop_
_atom_site_label
_atom_site_type_symbol
_atom_site_fract_x
_atom_site_fract_y
_atom_site_fract_z
_atom_site_occupancy
Hf1 Hf 0.070 0.070 0.680 1
Hf2 Hf 0.070 0.680 0.070 1
Hf3 Hf 0.070 0.680 0.680 1
Hf4 Hf 0.320 0.320 0.930 1
Hf5 Hf 0.320 0.930 0.320 1
Hf6 Hf 0.320 0.930 0.930 1
Hf7 Hf 0.680 0.070 0.070 1
Hf8 Hf 0.680 0.070 0.680 1
Hf9 Hf 0.680 0.680 0.070 1
Hf10 Hf 0.930 0.320 0.320 1
Hf11 Hf 0.930 0.320 0.930 1
Hf12 Hf 0.930 0.930 0.320 1
Al1 Al 0.000 0.500 0.500 1
Al2 Al 0.500 0.000 0.500 1
Al3 Al 0.500 0.500 0.000 1
Al4 Al 0.500 0.500 0.500 1
Au1 Au 0.286 0.286 0.286 1
Au2 Au 0.286 0.286 0.641 1
Au3 Au 0.286 0.641 0.286 1
Au4 Au 0.359 0.714 0.714 1
Au5 Au 0.641 0.286 0.286 1
Au6 Au 0.714 0.359 0.714 1
Au7 Au 0.714 0.714 0.359 1
Au8 Au 0.714 0.714 0.714 1
```